For Ti2HF, a PBE-relaxed structure gives the calculated X-ray powder pattern in this record (Cu Kα).
Lines closer than 0.1° are merged.

Peak list (10 most intense, 2θ = 10–90°, in order of falling intensity)
2θ/deg, I/Imax
33.99, 100
57.23, 26
67.67, 18
39.16, 18
56.58, 12
68.85, 10
40.02, 9
45.20, 8
35.69, 5
71.54, 5

Cell and atoms:
abc: 4.6008 4.6008 9.0123
angles: 90.00 90.00 90.00
Space group I-42d (No. 122)
Asymmetric unit:
Ti: 0.2168 0.2500 0.1250 x8
H: 0.0000 0.0000 0.0000 x4
F: 0.0000 0.0000 0.5000 x4


For Y3MgGa12, a PBE-relaxed structure gives the calculated X-ray powder pattern in this record (Cu Kα).
Lines closer than 0.1° are merged.

Peak list (10 most intense, 2θ = 10–90°, in order of falling intensity)
2θ/deg, I/Imax
36.49, 100
42.35, 33
61.49, 31
73.62, 24
42.46, 15
73.77, 11
77.54, 10
26.13, 2
31.47, 1
33.63, 1

Cell and atoms:
abc: 4.2685 4.2685 17.0312
angles: 90.00 90.00 90.00
Space group P4/mmm (No. 123)
Asymmetric unit:
Y: 0.0000 0.0000 0.0000 x1
Y: 0.0000 0.0000 0.2544 x2
Mg: 0.0000 0.0000 0.5000 x1
Ga: 0.0000 0.5000 0.1274 x4
Ga: 0.0000 0.5000 0.3832 x4
Ga: 0.5000 0.5000 0.0000 x1
Ga: 0.5000 0.5000 0.2451 x2
Ga: 0.5000 0.5000 0.5000 x1